1.
# Cs3FeF6
Theoretical X-ray powder pattern, Cu Kα. Input: a cell relaxed with PBE+U.

Structural model:
abc: 6.928 6.928 6.928
angles: 121.95 121.95 86.65
Fractional coordinates of all 10 atoms:
Cs 0.000 0.000 0.000
Cs 0.250 0.750 0.500
Cs 0.750 0.250 0.500
Fe 0.500 0.500 0.000
F 0.212 0.500 0.712
F 0.296 0.296 0.000
F 0.500 0.212 0.712
F 0.500 0.788 0.288
F 0.704 0.704 0.000
F 0.788 0.500 0.288

Main lines, by angle (10° ≤ 2θ ≤ 90°):
| Position (°2θ) | intensity |
| --- | --- |
| 25.76 | 100.0 |
| 26.52 | 73.2 |
| 35.63 | 20.1 |
| 37.85 | 20.0 |
| 44.96 | 30.4 |
| 46.36 | 47.6 |
| 52.96 | 13.6 |
| 58.25 | 12.3 |
| 71.59 | 15.3 |
| 73.34 | 13.1 |

=====

2.
# Li9Mn2Co5O16
Theoretical X-ray powder pattern, Cu Kα. Input: a cell relaxed with PBE+U.

Structural model:
abc: 10.830 10.830 10.089
angles: 113.79 113.79 15.68
Fractional coordinates of all 32 atoms:
Li 0.000 0.000 0.000
Li 0.004 0.004 0.489
Li 0.122 0.122 0.430
Li 0.242 0.242 0.366
Li 0.246 0.246 0.863
Li 0.501 0.501 0.742
Li 0.507 0.507 0.254
Li 0.734 0.734 0.608
Li 0.743 0.743 0.121
Mn 0.122 0.122 0.930
Mn 0.872 0.872 0.555
Co 0.370 0.370 0.295
Co 0.374 0.374 0.814
Co 0.620 0.620 0.660
Co 0.625 0.625 0.202
Co 0.874 0.874 0.057
O 0.064 0.064 0.205
O 0.067 0.067 0.724
O 0.177 0.177 0.137
O 0.182 0.182 0.656
O 0.314 0.314 0.095
O 0.320 0.320 0.590
O 0.424 0.424 0.521
O 0.431 0.431 0.014
O 0.560 0.560 0.473
O 0.568 0.568 0.959
O 0.676 0.676 0.902
O 0.684 0.684 0.389
O 0.816 0.816 0.847
O 0.817 0.817 0.350
O 0.928 0.928 0.760
O 0.929 0.929 0.266

Main lines, by angle (10° ≤ 2θ ≤ 90°):
| Position (°2θ) | intensity |
| --- | --- |
| 18.11 | 100.0 |
| 35.69 | 27.1 |
| 36.25 | 12.2 |
| 37.46 | 10.2 |
| 43.00 | 55.5 |
| 43.88 | 24.3 |
| 47.40 | 8.3 |
| 56.55 | 10.8 |
| 62.57 | 13.9 |
| 63.68 | 12.9 |

=====

3.
# KAl3Fe2Si2H2O12
Theoretical X-ray powder pattern, Cu Kα. Input: a cell relaxed with PBE+U.

Structural model:
abc: 5.389 5.409 10.528
angles: 95.68 94.72 119.87
Fractional coordinates of all 22 atoms:
K 0.000 0.000 0.000
Al 0.250 0.586 0.769
Al 0.741 0.410 0.232
Al 0.824 0.178 0.500
Fe 0.158 0.831 0.501
Fe 0.491 0.505 0.500
Si 0.416 0.756 0.230
Si 0.593 0.256 0.771
H 0.060 0.097 0.309
H 0.890 0.949 0.690
O 0.075 0.648 0.185
O 0.092 0.128 0.403
O 0.166 0.506 0.597
O 0.370 0.954 0.819
O 0.479 0.499 0.182
O 0.492 0.839 0.392
O 0.520 0.507 0.818
O 0.557 0.201 0.608
O 0.624 0.047 0.170
O 0.784 0.437 0.404
O 0.856 0.908 0.596
O 0.928 0.360 0.829

Main lines, by angle (10° ≤ 2θ ≤ 90°):
| Position (°2θ) | intensity |
| --- | --- |
| 22.26 | 28.0 |
| 25.56 | 30.3 |
| 25.81 | 97.3 |
| 27.82 | 30.7 |
| 33.57 | 51.0 |
| 33.74 | 100.0 |
| 34.67 | 29.8 |
| 36.37 | 39.8 |
| 40.83 | 50.3 |
| 59.33 | 43.2 |

=====

4.
# ThV2PbO8
Theoretical X-ray powder pattern, Cu Kα. Input: a cell relaxed with PBE+U.

Structural model:
abc: 6.888 7.098 7.386
angles: 88.76 87.50 75.79
Fractional coordinates of all 24 atoms:
Th 0.085 0.226 0.144
Th 0.915 0.774 0.856
V 0.115 0.704 0.340
V 0.392 0.801 0.839
V 0.608 0.199 0.161
V 0.885 0.296 0.660
Pb 0.398 0.287 0.645
Pb 0.602 0.713 0.355
O 0.015 0.610 0.152
O 0.053 0.267 0.471
O 0.178 0.982 0.909
O 0.195 0.910 0.280
O 0.261 0.626 0.797
O 0.331 0.534 0.389
O 0.402 0.257 0.018
O 0.493 0.880 0.648
O 0.507 0.120 0.352
O 0.598 0.743 0.982
O 0.669 0.466 0.611
O 0.739 0.374 0.203
O 0.805 0.090 0.720
O 0.822 0.018 0.091
O 0.947 0.733 0.529
O 0.985 0.390 0.848

Main lines, by angle (10° ≤ 2θ ≤ 90°):
| Position (°2θ) | intensity |
| --- | --- |
| 17.56 | 38.4 |
| 19.70 | 41.4 |
| 25.90 | 100.0 |
| 27.30 | 93.6 |
| 27.56 | 93.1 |
| 28.82 | 39.8 |
| 28.93 | 48.5 |
| 29.83 | 70.7 |
| 32.49 | 39.6 |
| 46.86 | 46.8 |

=====

5.
# Cs2WO2F4
Theoretical X-ray powder pattern, Cu Kα. Input: a cell relaxed with PBE+U.

Structural model:
abc: 6.400 6.400 5.152
angles: 91.72 91.72 60.41
Fractional coordinates of all 9 atoms:
Cs 0.170 0.170 0.311
Cs 0.830 0.830 0.689
W 0.500 0.500 0.000
O 0.361 0.361 0.794
O 0.639 0.639 0.206
F 0.209 0.649 0.214
F 0.351 0.791 0.786
F 0.649 0.209 0.214
F 0.791 0.351 0.786

Main lines, by angle (10° ≤ 2θ ≤ 90°):
| Position (°2θ) | intensity |
| --- | --- |
| 23.19 | 50.2 |
| 23.75 | 100.0 |
| 27.70 | 29.6 |
| 27.89 | 62.2 |
| 36.43 | 47.7 |
| 37.46 | 21.9 |
| 38.26 | 26.3 |
| 46.32 | 14.1 |
| 48.60 | 15.1 |
| 57.66 | 22.7 |

=====

6.
# TiNiO3
Theoretical X-ray powder pattern, Cu Kα. Input: a cell relaxed with PBE+U.

Structural model:
abc: 5.057 5.497 12.595
angles: 93.21 90.16 117.16
Fractional coordinates of all 30 atoms:
Ti 0.000 0.000 0.000
Ti 0.004 0.988 0.511
Ti 0.052 0.097 0.237
Ti 0.351 0.655 0.669
Ti 0.381 0.764 0.904
Ti 0.666 0.334 0.338
Ni 0.062 0.113 0.737
Ni 0.324 0.649 0.170
Ni 0.388 0.778 0.401
Ni 0.658 0.319 0.835
Ni 0.718 0.439 0.571
Ni 0.726 0.449 0.070
O 0.076 0.810 0.633
O 0.104 0.501 0.807
O 0.168 0.719 0.030
O 0.217 0.047 0.877
O 0.275 0.267 0.100
O 0.315 0.957 0.267
O 0.399 0.141 0.469
O 0.406 0.474 0.304
O 0.489 0.390 0.703
O 0.553 0.724 0.540
O 0.610 0.932 0.765
O 0.649 0.628 0.937
O 0.737 0.141 0.971
O 0.775 0.830 0.142
O 0.845 0.051 0.370
O 0.880 0.375 0.212
O 0.942 0.603 0.430
O 0.990 0.266 0.595

Main lines, by angle (10° ≤ 2θ ≤ 90°):
| Position (°2θ) | intensity |
| --- | --- |
| 24.07 | 26.9 |
| 32.67 | 67.4 |
| 32.79 | 65.0 |
| 32.89 | 62.3 |
| 35.35 | 100.0 |
| 35.50 | 48.7 |
| 48.70 | 26.0 |
| 49.06 | 24.6 |
| 53.61 | 42.5 |
| 63.65 | 44.5 |

=====

7.
# Li2CrC3O9
Theoretical X-ray powder pattern, Cu Kα. Input: a cell relaxed with PBE+U.

Structural model:
abc: 9.584 6.019 6.019
angles: 107.22 90.00 90.00
Fractional coordinates of all 30 atoms:
Li 0.000 0.000 0.000
Li 0.250 0.110 0.769
Li 0.500 0.000 0.000
Li 0.750 0.769 0.110
Cr 0.250 0.716 0.213
Cr 0.750 0.213 0.716
C 0.019 0.025 0.487
C 0.250 0.607 0.702
C 0.481 0.025 0.487
C 0.519 0.487 0.025
C 0.750 0.702 0.607
C 0.981 0.487 0.025
O 0.061 0.998 0.678
O 0.100 0.969 0.302
O 0.103 0.463 0.109
O 0.250 0.392 0.672
O 0.250 0.683 0.522
O 0.250 0.769 0.903
O 0.397 0.463 0.109
O 0.400 0.969 0.302
O 0.439 0.998 0.678
O 0.561 0.678 0.998
O 0.600 0.302 0.969
O 0.603 0.109 0.463
O 0.750 0.522 0.683
O 0.750 0.672 0.392
O 0.750 0.903 0.769
O 0.897 0.109 0.463
O 0.900 0.302 0.969
O 0.939 0.678 0.998

Main lines, by angle (10° ≤ 2θ ≤ 90°):
| Position (°2θ) | intensity |
| --- | --- |
| 17.99 | 100.0 |
| 18.31 | 85.0 |
| 18.52 | 19.2 |
| 24.18 | 38.7 |
| 31.24 | 39.9 |
| 31.81 | 15.8 |
| 32.05 | 20.9 |
| 36.45 | 50.1 |
| 42.30 | 18.8 |
| 48.63 | 14.2 |

=====

8.
# Ti3Fe3Sb2O16
Theoretical X-ray powder pattern, Cu Kα. Input: a cell relaxed with PBE+U.

Structural model:
abc: 6.023 6.023 9.365
angles: 90.40 90.40 59.68
Fractional coordinates of all 24 atoms:
Ti 0.000 0.000 0.000
Ti 0.332 0.828 0.503
Ti 0.828 0.332 0.503
Fe 0.333 0.333 0.505
Fe 0.503 0.996 0.006
Fe 0.996 0.503 0.006
Sb 0.495 0.495 0.224
Sb 0.829 0.829 0.726
O 0.121 0.694 0.872
O 0.161 0.161 0.411
O 0.164 0.164 0.911
O 0.211 0.648 0.373
O 0.330 0.819 0.110
O 0.333 0.333 0.114
O 0.505 0.505 0.610
O 0.507 0.989 0.610
O 0.640 0.640 0.374
O 0.648 0.211 0.373
O 0.687 0.687 0.873
O 0.694 0.121 0.872
O 0.819 0.330 0.110
O 0.833 0.833 0.109
O 0.989 0.507 0.610
O 0.990 0.990 0.607

Main lines, by angle (10° ≤ 2θ ≤ 90°):
| Position (°2θ) | intensity |
| --- | --- |
| 19.39 | 17.8 |
| 19.53 | 100.0 |
| 25.58 | 19.4 |
| 33.55 | 16.7 |
| 35.32 | 17.0 |
| 35.56 | 38.4 |
| 35.79 | 16.1 |
| 55.29 | 14.9 |
| 61.10 | 13.8 |
| 61.59 | 16.6 |

=====

9.
# V5ZnO7
Theoretical X-ray powder pattern, Cu Kα. Input: a cell relaxed with PBE+U.

Structural model:
abc: 5.321 5.321 18.488
angles: 90.00 90.00 147.71
Fractional coordinates of all 26 atoms:
V 0.000 0.000 0.000
V 0.000 0.000 0.500
V 0.273 0.727 0.578
V 0.273 0.727 0.922
V 0.463 0.537 0.156
V 0.463 0.537 0.344
V 0.537 0.463 0.656
V 0.537 0.463 0.844
V 0.727 0.273 0.078
V 0.727 0.273 0.422
Zn 0.209 0.791 0.250
Zn 0.791 0.209 0.750
O 0.083 0.917 0.105
O 0.083 0.917 0.395
O 0.173 0.827 0.675
O 0.173 0.827 0.825
O 0.362 0.638 0.036
O 0.362 0.638 0.464
O 0.429 0.571 0.750
O 0.571 0.429 0.250
O 0.638 0.362 0.536
O 0.638 0.362 0.964
O 0.827 0.173 0.175
O 0.827 0.173 0.325
O 0.917 0.083 0.605
O 0.917 0.083 0.895

Main lines, by angle (10° ≤ 2θ ≤ 90°):
| Position (°2θ) | intensity |
| --- | --- |
| 29.82 | 21.7 |
| 33.97 | 100.0 |
| 34.75 | 44.2 |
| 35.11 | 20.7 |
| 38.36 | 32.0 |
| 41.58 | 72.3 |
| 43.06 | 70.9 |
| 55.16 | 28.8 |
| 58.38 | 25.4 |
| 62.79 | 20.9 |

=====

10.
# Ba2MgAl2Fe8O14
Theoretical X-ray powder pattern, Cu Kα. Input: a cell relaxed with PBE+U.

Structural model:
abc: 5.973 6.087 10.986
angles: 82.23 83.52 65.32
Fractional coordinates of all 27 atoms:
Ba 0.000 0.000 0.000
Ba 0.307 0.344 0.466
Mg 0.510 0.590 0.715
Al 0.325 0.371 0.930
Al 0.966 0.976 0.341
Fe 0.032 0.803 0.671
Fe 0.476 0.008 0.201
Fe 0.477 0.518 0.200
Fe 0.499 0.045 0.742
Fe 0.652 0.737 0.473
Fe 0.686 0.675 0.951
Fe 0.947 0.294 0.709
Fe 0.966 0.483 0.210
O 0.021 0.475 0.032
O 0.114 0.721 0.251
O 0.136 0.159 0.308
O 0.186 0.232 0.826
O 0.212 0.680 0.824
O 0.340 0.924 0.606
O 0.473 0.018 0.023
O 0.493 0.479 0.027
O 0.621 0.672 0.304
O 0.632 0.250 0.813
O 0.662 0.160 0.288
O 0.735 0.411 0.571
O 0.760 0.704 0.760
O 0.934 0.836 0.495

Main lines, by angle (10° ≤ 2θ ≤ 90°):
| Position (°2θ) | intensity |
| --- | --- |
| 28.18 | 46.2 |
| 30.24 | 51.5 |
| 30.85 | 34.8 |
| 31.78 | 74.0 |
| 32.00 | 79.2 |
| 32.36 | 59.3 |
| 32.75 | 87.4 |
| 33.00 | 100.0 |
| 36.21 | 58.5 |
| 38.01 | 48.4 |

=====

Copy entry 3 word for word.
# KAl3Fe2Si2H2O12
Theoretical X-ray powder pattern, Cu Kα. Input: a cell relaxed with PBE+U.

Structural model:
abc: 5.389 5.409 10.528
angles: 95.68 94.72 119.87
Fractional coordinates of all 22 atoms:
K 0.000 0.000 0.000
Al 0.250 0.586 0.769
Al 0.741 0.410 0.232
Al 0.824 0.178 0.500
Fe 0.158 0.831 0.501
Fe 0.491 0.505 0.500
Si 0.416 0.756 0.230
Si 0.593 0.256 0.771
H 0.060 0.097 0.309
H 0.890 0.949 0.690
O 0.075 0.648 0.185
O 0.092 0.128 0.403
O 0.166 0.506 0.597
O 0.370 0.954 0.819
O 0.479 0.499 0.182
O 0.492 0.839 0.392
O 0.520 0.507 0.818
O 0.557 0.201 0.608
O 0.624 0.047 0.170
O 0.784 0.437 0.404
O 0.856 0.908 0.596
O 0.928 0.360 0.829

Main lines, by angle (10° ≤ 2θ ≤ 90°):
| Position (°2θ) | intensity |
| --- | --- |
| 22.26 | 28.0 |
| 25.56 | 30.3 |
| 25.81 | 97.3 |
| 27.82 | 30.7 |
| 33.57 | 51.0 |
| 33.74 | 100.0 |
| 34.67 | 29.8 |
| 36.37 | 39.8 |
| 40.83 | 50.3 |
| 59.33 | 43.2 |